The following is a computed powder diffraction line list of FeOsO. It was derived from the PBE+U geometry in Alexandria, using a wavelength of 1.5418 Å.
Lines closer than 0.1° are merged.

Most intense lines, 10 to 90 degrees two-theta, low angle first:
2θ 13.82, intensity 100.0; 2θ 35.85, intensity 59.2; 2θ 38.46, intensity 70.7; 2θ 41.06, intensity 36.9; 2θ 42.21, intensity 33.4; 2θ 45.10, intensity 18.2; 2θ 47.40, intensity 15.3; 2θ 48.26, intensity 26.1; 2θ 53.43, intensity 21.4; 2θ 63.48, intensity 24.7

```
FeOsO
1.0
2.879 0.000 0.000
0.000 6.406 0.000
0.000 0.000 4.020
Fe Os O
2 2 2
direct
0.000 0.184 0.000
0.500 0.816 0.500
0.000 0.587 0.948
0.500 0.413 0.448
0.000 0.887 0.183
0.500 0.113 0.683
```



The following is a computed powder diffraction line list of AcLaCoO4. It was derived from the PBE+U geometry in Alexandria, using a wavelength of 1.5418 Å.
Lines closer than 0.1° are merged.

Most intense lines, 10 to 90 degrees two-theta, low angle first:
2θ 23.63, intensity 46.2; 2θ 27.20, intensity 18.7; 2θ 30.59, intensity 100.0; 2θ 32.21, intensity 67.4; 2θ 41.36, intensity 28.9; 2θ 42.65, intensity 36.3; 2θ 46.20, intensity 32.5; 2θ 54.24, intensity 15.8; 2θ 56.43, intensity 37.1; 2θ 63.71, intensity 19.6

```
AcLaCoO4
1.0
3.930 0.000 0.000
0.000 3.930 0.000
0.000 0.000 13.115
Ac La Co O
2 2 2 8
direct
0.000 0.000 0.000
0.500 0.500 0.500
0.000 0.000 0.725
0.500 0.500 0.225
0.000 0.000 0.352
0.500 0.500 0.852
0.000 0.000 0.185
0.000 0.000 0.548
0.000 0.500 0.360
0.000 0.500 0.860
0.500 0.000 0.360
0.500 0.000 0.860
0.500 0.500 0.048
0.500 0.500 0.685
```